Starting from a cell relaxed with PBE, the powder diffraction line list of Hf6MgO12 was calculated for CuKα.

Largest 10 diffraction maxima, in order of rising 2θ, 10° ≤ 2θ ≤ 90°:
Position (°2θ)	I_rel	(hkl)
18.83	25	1 1 0
30.79	100	2 1 1
31.16	32	0 0 3
35.81	45	3 -2 2
36.66	12	2 -1 3
51.30	27	1 4 0
51.78	25	2 1 4
61.03	11	6 -4 1
61.24	23	1 4 3
61.68	12	3 -2 5

Atomic structure:
```
data_Hf6MgO12
_cell_length_a 9.4246
_cell_length_b 9.4246
_cell_length_c 8.6121
_cell_angle_alpha 90.00
_cell_angle_beta 90.00
_cell_angle_gamma 120.00
_symmetry_space_group_name_H-M 'R -3'
_symmetry_Int_Tables_number 148
_symmetry_space_group_name_Hall '-R 3'
loop_
_atom_site_label
_atom_site_type_symbol
_atom_site_fract_x
_atom_site_fract_y
_atom_site_fract_z
Hf1 Hf 0.0524 0.2648 0.1507
Mg1 Mg 0.0000 0.0000 0.5000
O1 O 0.0374 0.2112 0.8892
O2 O 0.0376 0.2121 0.3887
```